For CdSnP2, DFT lattice parameters and positions (GGA-PBE) gives the theoretical X-ray powder pattern in this record (a wavelength of 1.5418 Å).
Peak positions follow from Bragg's law for the DFT cell and can differ from measured ones.

Crystal structure
```
data_CdSnP2
_chemical_formula_sum 'Cd4 Sn4 P8'
_cell_length_a 5.9854
_cell_length_b 5.9854
_cell_length_c 11.7247
_cell_angle_alpha 90.00
_cell_angle_beta 90.00
_cell_angle_gamma 90.00
_space_group_name_H-M_alt 'I -4 2 d'
_space_group_IT_number 122
_space_group_name_Hall 'I -4 2bw'
loop_
_atom_site_label
_atom_site_type_symbol
_atom_site_fract_x
_atom_site_fract_y
_atom_site_fract_z
Cd1 Cd 0.0000 0.0000 0.0000
Sn1 Sn 0.0000 0.0000 0.5000
P1 P 0.2430 0.7500 0.6250
```

Most intense lines, 10° ≤ 2θ ≤ 90°, sorted by position:
2θ/deg  I_rel  index
25.97  1000  1 1 2
29.86  176  2 0 0
30.50  84  0 0 4
42.73  193  2 2 0
43.20  374  2 0 4
50.68  317  3 1 2
51.51  151  1 1 6
69.09  125  3 1 6
78.58  129  4 2 4
84.10  76  5 1 2



For SrCd2P2, DFT lattice parameters and positions (GGA-PBE) gives the theoretical X-ray powder pattern in this record (a wavelength of 1.5418 Å).
Peak positions follow from Bragg's law for the DFT cell and can differ from measured ones.

Crystal structure
```
data_SrCd2P2
_chemical_formula_sum 'Sr1 Cd2 P2'
_cell_length_a 4.3889
_cell_length_b 4.3889
_cell_length_c 7.3316
_cell_angle_alpha 90.00
_cell_angle_beta 90.00
_cell_angle_gamma 120.00
_space_group_name_H-M_alt 'P -3 m 1'
_space_group_IT_number 164
_space_group_name_Hall '-P 3 2"'
loop_
_atom_site_label
_atom_site_type_symbol
_atom_site_fract_x
_atom_site_fract_y
_atom_site_fract_z
Sr1 Sr 0.0000 0.0000 0.0000
Cd1 Cd 0.3333 0.6667 0.3648
P1 P 0.3333 0.6667 0.7472
```

Most intense lines, 10° ≤ 2θ ≤ 90°, sorted by position:
2θ/deg  I_rel  index
26.41  1000  0 1 1
33.98  806  1 0 2
36.78  153  0 0 3
41.13  599  1 1 0
44.05  182  1 0 3
49.55  176  2 0 1
54.38  200  0 2 2
56.35  256  1 1 3
66.30  143  1 2 1
70.39  181  2 1 2



For Pa3Cd, DFT lattice parameters and positions (GGA-PBE) gives the theoretical X-ray powder pattern in this record (a wavelength of 1.5418 Å).
Peak positions follow from Bragg's law for the DFT cell and can differ from measured ones.

Crystal structure
```
data_Pa3Cd
_chemical_formula_sum 'Pa3 Cd1'
_cell_length_a 4.6253
_cell_length_b 4.6253
_cell_length_c 4.6253
_cell_angle_alpha 90.00
_cell_angle_beta 90.00
_cell_angle_gamma 90.00
_space_group_name_H-M_alt 'P m -3 m'
_space_group_IT_number 221
_space_group_name_Hall '-P 4 2 3'
loop_
_atom_site_label
_atom_site_type_symbol
_atom_site_fract_x
_atom_site_fract_y
_atom_site_fract_z
Pa1 Pa 0.0000 0.0000 0.5000
Cd1 Cd 0.5000 0.5000 0.5000
```

Most intense lines, 10° ≤ 2θ ≤ 90°, sorted by position:
2θ/deg  I_rel  index
19.19  55  1 0 0
27.27  48  1 1 0
33.56  1000  1 1 1
38.94  504  2 0 0
43.76  30  2 1 0
48.19  23  2 1 1
56.25  351  2 2 0
67.12  416  3 1 1
70.53  120  2 2 2
83.62  58  4 0 0



For Cd3Pb, DFT lattice parameters and positions (GGA-PBE) gives the theoretical X-ray powder pattern in this record (a wavelength of 1.5418 Å).
Peak positions follow from Bragg's law for the DFT cell and can differ from measured ones.

Crystal structure
```
data_Cd3Pb
_chemical_formula_sum 'Cd6 Pb2'
_cell_length_a 6.6766
_cell_length_b 6.6766
_cell_length_c 5.3479
_cell_angle_alpha 90.00
_cell_angle_beta 90.00
_cell_angle_gamma 120.00
_space_group_name_H-M_alt 'P 63/m m c'
_space_group_IT_number 194
_space_group_name_Hall '-P 6c 2c'
loop_
_atom_site_label
_atom_site_type_symbol
_atom_site_fract_x
_atom_site_fract_y
_atom_site_fract_z
Cd1 Cd 0.1606 0.3212 0.2500
Pb1 Pb 0.3333 0.6667 0.7500
```

Most intense lines, 10° ≤ 2θ ≤ 90°, sorted by position:
2θ/deg  I_rel  index
22.65  96  1 0 1
30.93  237  2 0 0
33.51  257  0 0 2
35.29  1000  2 0 1
46.25  154  2 0 2
55.01  180  2 2 0
61.07  198  2 0 3
65.98  206  2 2 2
67.07  146  4 0 1
86.73  75  4 0 3



For Pm2CdPb, DFT lattice parameters and positions (GGA-PBE) gives the theoretical X-ray powder pattern in this record (a wavelength of 1.5418 Å).
Peak positions follow from Bragg's law for the DFT cell and can differ from measured ones.

Crystal structure
```
data_Pm2CdPb
_chemical_formula_sum 'Pm8 Cd4 Pb4'
_cell_length_a 7.7449
_cell_length_b 7.7449
_cell_length_c 7.7449
_cell_angle_alpha 90.00
_cell_angle_beta 90.00
_cell_angle_gamma 90.00
_space_group_name_H-M_alt 'F m -3 m'
_space_group_IT_number 225
_space_group_name_Hall '-F 4 2 3'
loop_
_atom_site_label
_atom_site_type_symbol
_atom_site_fract_x
_atom_site_fract_y
_atom_site_fract_z
Pm1 Pm 0.2500 0.2500 0.2500
Cd1 Cd 0.0000 0.0000 0.0000
Pb1 Pb 0.0000 0.0000 0.5000
```

Most intense lines, 10° ≤ 2θ ≤ 90°, sorted by position:
2θ/deg  I_rel  index
19.86  45  1 1 1
32.70  1000  2 2 0
38.55  28  3 1 1
46.93  183  4 0 0
51.43  13  3 3 1
58.37  382  4 2 2
68.54  118  4 4 0
72.16  11  5 3 1
78.03  165  6 2 0
87.20  43  4 4 4



For CdRh2Pb, DFT lattice parameters and positions (GGA-PBE) gives the theoretical X-ray powder pattern in this record (a wavelength of 1.5418 Å).
Peak positions follow from Bragg's law for the DFT cell and can differ from measured ones.

Crystal structure
```
data_CdRh2Pb
_chemical_formula_sum 'Cd4 Rh8 Pb4'
_cell_length_a 6.6011
_cell_length_b 6.6011
_cell_length_c 6.6011
_cell_angle_alpha 90.00
_cell_angle_beta 90.00
_cell_angle_gamma 90.00
_space_group_name_H-M_alt 'F m -3 m'
_space_group_IT_number 225
_space_group_name_Hall '-F 4 2 3'
loop_
_atom_site_label
_atom_site_type_symbol
_atom_site_fract_x
_atom_site_fract_y
_atom_site_fract_z
Cd1 Cd 0.0000 0.0000 0.0000
Rh1 Rh 0.2500 0.2500 0.2500
Pb1 Pb 0.0000 0.0000 0.5000
```

Most intense lines, 10° ≤ 2θ ≤ 90°, sorted by position:
2θ/deg  I_rel  index
23.34  65  1 1 1
27.02  50  2 0 0
38.58  1000  2 2 0
45.58  38  3 1 1
47.73  16  2 2 2
55.70  170  4 0 0
61.20  17  3 3 1
62.97  21  4 2 0
69.80  345  4 2 2
82.70  110  4 4 0



- What is the formula in the second record?
  SrCd2P2



- What is the formula in the second record?
  SrCd2P2